Calculated XRD peak list
Compound: MnHgS2
Radiation: Cu Kα, 1.54184 Å
Structure: a GGA-PBE-relaxed structure
No peak broadening, texture or thermal motion is included.

Structure:
Unit cell a=11.799 b=11.824 c=5.379 alpha=90.00 beta=90.00 gamma=90.00
Space group Fmm2 (No. 42)
Asymmetric unit:
Mn: 0.000 0.000 0.000 [4 per cell]
Mn: 0.000 0.000 0.500 [4 per cell]
Hg: 0.250 0.250 0.249 [8 per cell]
S: 0.000 0.140 0.250 [8 per cell]
S: 0.141 0.000 0.750 [8 per cell]

The 8 most intense peaks (10 to 90 degrees two-theta), in order of rising 2θ:
Position (°2θ)	I_rel	index
15.0	44	2 0 0
21.3	100	2 2 0
30.3	48	4 0 0
33.9	35	2 4 0
36.7	46	2 0 2
48.3	67	4 2 2
48.8	27	6 2 0
66.9	21	6 4 2